Record 1
For Hg2SbPt, a GGA-PBE-relaxed structure gives the theoretical X-ray powder pattern in this record (Cu Kα, 1.54184 Å).
No peak broadening, texture or thermal motion is included.

```
Hg2SbPt
1.0
-2.2832 2.2832 4.1477
2.2832 -2.2832 4.1477
2.2832 2.2832 -4.1477
Hg Sb Pt
2 1 1
Cartesian
0.0000 0.0000 0.0000
0.0000 2.2832 2.0739
0.0000 0.0000 4.1477
2.2832 0.0000 2.0739
```

Peak list (10 most intense, 2θ from 10° to 90°, in order of rising 2θ)
d_spacing	2theta	intensity
4.000	22.2	37
2.548	35.2	1000
2.283	39.5	367
2.074	43.6	139
1.614	57.0	127
1.535	60.3	215
1.364	68.8	290
1.274	74.5	117
1.271	74.7	116
1.142	85.0	43



Record 2
For KAg2Se2O6, a GGA-PBE-relaxed structure gives the theoretical X-ray powder pattern in this record (Cu Kα, 1.54184 Å).
No peak broadening, texture or thermal motion is included.

```
KAg2Se2O6
1.0
5.6984 0.0000 0.0000
2.7706 5.6678 0.0000
2.4107 1.5663 6.0668
K Ag Se O
1 2 2 6
Cartesian
0.0000 0.0000 0.0000
5.2535 2.8689 4.6658
5.6263 4.3652 1.4010
3.0773 2.1283 2.1509
7.8025 5.1058 3.9159
2.4886 3.5077 1.3802
3.1595 0.9517 0.8261
6.0940 4.7354 3.6742
4.7858 2.4987 2.3926
7.7202 6.2824 5.2407
8.3912 3.7264 4.6866
```

Peak list (10 most intense, 2θ from 10° to 90°, in order of rising 2θ)
d_spacing	2theta	intensity
4.974	17.8	1000
4.579	19.4	442
3.169	28.2	593
3.078	29.0	385
3.033	29.4	390
2.990	29.9	715
2.915	30.7	768
2.870	31.2	616
2.842	31.5	918
2.744	32.6	420



Record 3
For ZnNiH2, a GGA-PBE-relaxed structure gives the theoretical X-ray powder pattern in this record (Cu Kα, 1.54184 Å).
No peak broadening, texture or thermal motion is included.

```
ZnNiH2
1.0
2.1880 -3.8442 0.0000
2.1880 3.8442 0.0000
-0.0132 0.0000 4.7373
Zn Ni H
2 2 4
Cartesian
1.0940 1.9221 0.0000
1.0874 -1.9221 2.3686
2.1847 3.8424 1.1843
2.1781 -3.8424 3.5530
1.0776 0.2236 2.3723
1.0842 -0.2236 0.0037
3.2786 0.2236 4.7336
3.2852 -0.2236 2.3649
```

Peak list (10 most intense, 2θ from 10° to 90°, in order of rising 2θ)
d_spacing	2theta	intensity
3.803	23.4	817
2.966	30.1	1000
2.211	40.8	183
2.016	45.0	719
2.006	45.2	301
2.003	45.3	169
1.922	47.3	264
1.902	47.8	483
1.609	57.2	144
1.605	57.4	142



Record 4
For KCaSeCl, a GGA-PBE-relaxed structure gives the theoretical X-ray powder pattern in this record (Cu Kα, 1.54184 Å).
No peak broadening, texture or thermal motion is included.

```
KCaSeCl
1.0
2.1653 1.2501 7.3803
-2.1653 1.2501 7.3803
0.0000 -2.5003 7.3803
K Ca Se Cl
1 1 1 1
Cartesian
0.0000 0.0000 0.0000
0.0000 0.0000 11.2850
0.0000 0.0000 5.3014
0.0000 0.0000 16.9077
```

Peak list (10 most intense, 2θ from 10° to 90°, in order of rising 2θ)
d_spacing	2theta	intensity
7.380	12.0	214
3.696	24.1	86
3.105	28.8	1000
2.227	40.5	304
2.165	41.7	360
1.776	51.5	223
1.552	59.6	121
1.404	66.6	94
1.373	68.3	161
1.262	75.3	102



Record 5
For CaH4Rh2, a GGA-PBE-relaxed structure gives the theoretical X-ray powder pattern in this record (Cu Kα, 1.54184 Å).
No peak broadening, texture or thermal motion is included.

```
CaH4Rh2
1.0
0.0000 4.1083 4.1311
4.1014 0.0000 4.1311
4.1014 4.1083 0.0000
Ca H Rh
2 8 4
Cartesian
1.0254 1.0271 1.0328
7.1775 7.1896 7.2295
3.8513 2.3099 3.8645
3.8513 3.8526 2.3322
2.3008 2.3099 2.3322
5.9020 4.3640 4.3978
2.3008 3.8526 3.8645
5.9020 5.9068 5.9300
4.3515 4.3640 5.9300
4.3515 5.9068 4.3978
4.1014 2.0542 2.0656
2.0507 4.1083 2.0656
2.0507 2.0542 4.1311
4.1014 4.1083 4.1311
```

Peak list (10 most intense, 2θ from 10° to 90°, in order of rising 2θ)
d_spacing	2theta	intensity
4.750	18.7	856
2.488	36.1	484
2.477	36.3	957
2.375	37.9	1000
2.052	44.1	226
1.889	48.2	132
1.582	58.3	231
1.456	63.9	309
1.451	64.2	153
1.244	76.6	127



Record 6
For Cs2HgF, a GGA-PBE-relaxed structure gives the theoretical X-ray powder pattern in this record (Cu Kα, 1.54184 Å).
No peak broadening, texture or thermal motion is included.

```
Cs2HgF
1.0
4.2894 0.0000 0.0000
-2.0998 7.4324 0.0000
-0.0120 -2.9078 10.2027
Cs Hg F
4 2 2
Cartesian
0.0194 0.4189 2.0744
0.0179 0.7249 6.2121
2.1596 3.7998 3.9905
2.1582 4.1057 8.1283
0.0246 4.6267 0.5778
2.1530 -0.1021 9.6249
0.0133 3.6185 6.0534
2.1643 0.9062 4.1493
```

Peak list (10 most intense, 2θ from 10° to 90°, in order of rising 2θ)
d_spacing	2theta	intensity
7.148	12.4	217
3.706	24.0	445
3.700	24.1	213
3.461	25.7	693
3.225	27.7	443
3.205	27.8	475
3.083	29.0	1000
2.215	40.7	234
2.144	42.1	242
1.887	48.2	293